(1)
For CrFe2Ni4, a structure optimized by DFT (GGA-PBE) gives the simulated powder diffractogram in this record (Cu Ka).

Structural model:
```
CrFe2Ni4
1.0
2.5014 0.0000 0.0000
0.0000 4.9678 0.0000
0.0000 0.0000 6.8201
Cr Fe Ni
1 2 4
direct
0.0000 0.0000 0.0000
0.0000 0.0000 0.5000
0.0000 0.5000 0.0000
0.5000 0.2549 0.2590
0.5000 0.2549 0.7410
0.5000 0.7451 0.2590
0.5000 0.7451 0.7410
```

Most intense lines, 2θ from 10° to 80°, low angle first:
- 12.98°, intensity 11
- 17.85°, intensity 7
- 22.14°, intensity 15
- 26.13°, intensity 9
- 31.83°, intensity 6
- 44.94°, intensity 100
- 45.16°, intensity 98
- 51.88°, intensity 64
- 53.76°, intensity 28
- 76.11°, intensity 9
- 76.74°, intensity 9
- 77.97°, intensity 33

=====

(2)
For ReW7, a structure optimized by DFT (GGA-PBE) gives the simulated powder diffractogram in this record (Cu Ka).

Structural model:
```
ReW7
1.0
4.4895 2.5920 3.6701
-4.4895 2.5920 3.6701
0.0000 -5.1841 3.6701
Re W
2 14
direct
0.1267 0.1267 0.1267
0.8733 0.8733 0.8733
0.1245 0.1245 0.6261
0.1245 0.6261 0.1245
0.1256 0.6247 0.6247
0.3744 0.3744 0.3744
0.3739 0.8755 0.8755
0.3753 0.3753 0.8744
0.3753 0.8744 0.3753
0.6247 0.1256 0.6247
0.6247 0.6247 0.1256
0.6261 0.1245 0.1245
0.6256 0.6256 0.6256
0.8744 0.3753 0.3753
0.8755 0.3739 0.8755
0.8755 0.8755 0.3739
```

Most intense lines, 2θ from 10° to 80°, low angle first:
- 40.16°, intensity 100
- 58.09°, intensity 17
- 72.97°, intensity 35

=====

(3)
For TbEr9Sc2, a structure optimized by DFT (GGA-PBE) gives the simulated powder diffractogram in this record (Cu Ka).

Structural model:
```
TbEr9Sc2
1.0
10.9531 0.0000 0.0000
-5.4766 9.4857 0.0000
0.0000 0.0000 3.4343
Tb Er Sc
1 9 2
direct
0.0000 0.0000 0.0000
0.0000 0.5000 0.0000
0.1795 0.3590 0.5000
0.1795 0.8205 0.5000
0.3590 0.1795 0.5000
0.5000 0.0000 0.0000
0.5000 0.5000 0.0000
0.6410 0.8205 0.5000
0.8205 0.1795 0.5000
0.8205 0.6410 0.5000
0.3333 0.6667 0.0000
0.6667 0.3333 0.0000
```

Most intense lines, 2θ from 10° to 80°, low angle first:
- 16.18°, intensity 10
- 24.83°, intensity 12
- 30.73°, intensity 13
- 32.18°, intensity 90
- 32.70°, intensity 100
- 36.22°, intensity 17
- 46.54°, intensity 30
- 53.35°, intensity 9
- 58.04°, intensity 30
- 58.37°, intensity 16
- 64.00°, intensity 29
- 77.74°, intensity 10